Structure and simulated PXRD pattern of PmV2RuO8 (a DFT-relaxed cell (GGA+U, Alexandria); Cu Kα (λ = 1.5418 Å)).
Lines closer than 0.1° are merged.

Atomic structure:
```
12
Lattice="4.3831 -2.9160 0.0000 4.3831 2.9160 0.0000 -0.0087 0.0000 6.7880" Properties=species:S:1:pos:R:3 pbc="T T T"
Pm 0.0000 0.0000 0.0000
V 3.1331 0.0000 1.8719
V 5.6245 0.0000 4.9160
Ru -0.0043 0.0000 3.3940
O 4.1356 1.5047 1.9193
O 1.9526 0.0000 3.1046
O 2.3387 0.0000 0.3638
O 4.6220 1.5047 4.8686
O 4.1356 -1.5047 1.9193
O 6.4189 0.0000 6.4241
O 6.8050 0.0000 3.6833
O 4.6220 -1.5047 4.8686
```

The 10 most intense peaks (2θ from 15° to 90°), sorted by position:
- 18.27°, rel. 77
- 20.26°, rel. 43
- 22.51°, rel. 31
- 30.66°, rel. 37
- 32.18°, rel. 100
- 34.33°, rel. 50
- 40.80°, rel. 19
- 45.96°, rel. 29
- 55.47°, rel. 23
- 59.37°, rel. 29